For NdMg15Ni, DFT lattice parameters and positions (PBE) gives the simulated powder X-ray diffraction pattern in this record (copper Kα).

Largest 10 diffraction maxima, low angle first, 2θ from 10° to 80°:
2θ 12.50, rel. 97
2θ 17.72, rel. 51
2θ 24.56, rel. 27
2θ 25.16, rel. 21
2θ 30.47, rel. 69
2θ 34.27, rel. 100
2θ 35.45, rel. 75
2θ 35.88, rel. 31
2θ 38.14, rel. 29
2θ 51.22, rel. 28

```
data_NdMg15Ni
_symmetry_space_group_name_H-M 'P 1'
_symmetry_Int_Tables_number 1
_cell_length_a 10.011
_cell_length_b 10.011
_cell_length_c 7.777
_cell_angle_alpha 90.00
_cell_angle_beta 90.00
_cell_angle_gamma 90.00
loop_
_symmetry_equiv_pos_as_xyz
'x,y,z'
loop_
_atom_site_label
_atom_site_type_symbol
_atom_site_fract_x
_atom_site_fract_y
_atom_site_fract_z
_atom_site_occupancy
Nd1 Nd 0.250 0.250 0.066 1
Nd2 Nd 0.750 0.750 0.934 1
Mg1 Mg 0.000 0.000 0.000 1
Mg2 Mg 0.000 0.500 0.000 1
Mg3 Mg 0.020 0.250 0.734 1
Mg4 Mg 0.090 0.090 0.390 1
Mg5 Mg 0.090 0.410 0.390 1
Mg6 Mg 0.098 0.750 0.849 1
Mg7 Mg 0.250 0.020 0.734 1
Mg8 Mg 0.250 0.480 0.734 1
Mg9 Mg 0.250 0.598 0.151 1
Mg10 Mg 0.250 0.750 0.500 1
Mg11 Mg 0.250 0.902 0.151 1
Mg12 Mg 0.402 0.750 0.849 1
Mg13 Mg 0.410 0.090 0.390 1
Mg14 Mg 0.410 0.410 0.390 1
Mg15 Mg 0.480 0.250 0.734 1
Mg16 Mg 0.500 0.000 0.000 1
Mg17 Mg 0.500 0.500 0.000 1
Mg18 Mg 0.520 0.750 0.266 1
Mg19 Mg 0.590 0.590 0.610 1
Mg20 Mg 0.590 0.910 0.610 1
Mg21 Mg 0.598 0.250 0.151 1
Mg22 Mg 0.750 0.098 0.849 1
Mg23 Mg 0.750 0.250 0.500 1
Mg24 Mg 0.750 0.402 0.849 1
Mg25 Mg 0.750 0.520 0.266 1
Mg26 Mg 0.750 0.980 0.266 1
Mg27 Mg 0.902 0.250 0.151 1
Mg28 Mg 0.910 0.590 0.610 1
Mg29 Mg 0.910 0.910 0.610 1
Mg30 Mg 0.980 0.750 0.266 1
Ni1 Ni 0.250 0.250 0.569 1
Ni2 Ni 0.750 0.750 0.431 1
```

---

For Y2Ni12As7, DFT lattice parameters and positions (PBE) gives the simulated powder X-ray diffraction pattern in this record (copper Kα).

Largest 10 diffraction maxima, low angle first, 2θ from 10° to 80°:
2θ 33.16, rel. 8
2θ 37.58, rel. 100
2θ 40.11, rel. 9
2θ 40.86, rel. 14
2θ 44.72, rel. 12
2θ 46.85, rel. 34
2θ 47.43, rel. 31
2θ 51.68, rel. 25
2θ 54.88, rel. 17
2θ 72.75, rel. 17

```
data_Y2Ni12As7
_symmetry_space_group_name_H-M 'P 1'
_symmetry_Int_Tables_number 1
_cell_length_a 9.359
_cell_length_b 9.359
_cell_length_c 3.833
_cell_angle_alpha 90.00
_cell_angle_beta 90.00
_cell_angle_gamma 120.00
loop_
_symmetry_equiv_pos_as_xyz
'x,y,z'
loop_
_atom_site_label
_atom_site_type_symbol
_atom_site_fract_x
_atom_site_fract_y
_atom_site_fract_z
_atom_site_occupancy
Y1 Y 0.000 0.000 0.000 1
Y2 Y 0.333 0.667 0.500 1
Ni1 Ni 0.044 0.759 0.500 1
Ni2 Ni 0.104 0.390 0.000 1
Ni3 Ni 0.241 0.285 0.500 1
Ni4 Ni 0.286 0.896 0.000 1
Ni5 Ni 0.387 0.205 0.000 1
Ni6 Ni 0.552 0.123 0.500 1
Ni7 Ni 0.571 0.448 0.500 1
Ni8 Ni 0.610 0.714 0.000 1
Ni9 Ni 0.715 0.956 0.500 1
Ni10 Ni 0.795 0.182 0.000 1
Ni11 Ni 0.818 0.613 0.000 1
Ni12 Ni 0.877 0.429 0.500 1
As1 As 0.071 0.620 0.000 1
As2 As 0.260 0.036 0.500 1
As3 As 0.380 0.450 0.000 1
As4 As 0.550 0.929 0.000 1
As5 As 0.667 0.333 0.000 1
As6 As 0.776 0.740 0.500 1
As7 As 0.964 0.224 0.500 1
```

---

For Ho4Se7, DFT lattice parameters and positions (PBE) gives the simulated powder X-ray diffraction pattern in this record (copper Kα).

Largest 10 diffraction maxima, low angle first, 2θ from 10° to 80°:
2θ 21.50, rel. 52
2θ 29.41, rel. 100
2θ 34.11, rel. 71
2θ 36.75, rel. 14
2θ 41.24, rel. 24
2θ 43.74, rel. 62
2θ 44.08, rel. 23
2θ 45.66, rel. 28
2θ 56.56, rel. 12
2θ 63.80, rel. 15

```
data_Ho4Se7
_symmetry_space_group_name_H-M 'P 1'
_symmetry_Int_Tables_number 1
_cell_length_a 10.510
_cell_length_b 7.009
_cell_length_c 7.009
_cell_angle_alpha 34.40
_cell_angle_beta 90.00
_cell_angle_gamma 90.00
loop_
_symmetry_equiv_pos_as_xyz
'x,y,z'
loop_
_atom_site_label
_atom_site_type_symbol
_atom_site_fract_x
_atom_site_fract_y
_atom_site_fract_z
_atom_site_occupancy
Ho1 Ho 0.000 0.000 0.000 1
Ho2 Ho 0.245 0.284 0.284 1
Ho3 Ho 0.500 0.000 0.000 1
Ho4 Ho 0.755 0.284 0.284 1
Se1 Se 0.000 0.357 0.357 1
Se2 Se 0.000 0.647 0.647 1
Se3 Se 0.250 0.927 0.927 1
Se4 Se 0.382 0.643 0.643 1
Se5 Se 0.500 0.356 0.356 1
Se6 Se 0.618 0.643 0.643 1
Se7 Se 0.750 0.927 0.927 1
```